Starting from a cell relaxed with GGA+U, the X-ray powder pattern of Na6NiO4 was simulated for Cu Kα (λ = 1.5418 Å).
Lines closer than 0.1° are merged.

Structure:
abc: 7.6455 13.2501 5.9210
angles: 90.00 90.67 90.00
Space group Cc (No. 9)
Inequivalent atoms, fractional coordinates:
Na 0.0000 0.0391 0.0000 [4 per cell]
Na 0.0016 0.3579 0.6669 [4 per cell]
Na 0.1965 0.2323 0.9991 [4 per cell]
Na 0.2136 0.4290 0.1675 [4 per cell]
Na 0.2904 0.0707 0.6677 [4 per cell]
Na 0.3097 0.2697 0.5023 [4 per cell]
Ni 0.0034 0.1661 0.3953 [4 per cell]
O 0.0011 0.3100 0.2787 [4 per cell]
O 0.2179 0.0942 0.2717 [4 per cell]
O 0.2861 0.4052 0.7794 [4 per cell]
O 0.4954 0.3317 0.2299 [4 per cell]

Most intense lines, 2θ = 10–90°, sorted by position:
2θ (°)	I/Imax
13.37	100
20.07	58
20.22	30
38.96	78
39.15	55
39.25	28
47.55	59
47.58	31